Computed powder diffractogram of GdAs2Au for Cu Ka, from a PBE-relaxed structure.
Neutral-atom scattering factors, no anomalous dispersion.

Structural model:
Unit cell a=5.730 b=5.716 c=20.504 alpha=90.00 beta=90.00 gamma=90.00
Space group Cmce (No. 64)
One atom of each set of equivalent atoms:
Gd 0.000 0.237 0.117
As 0.000 0.237 0.345
As 0.227 0.000 0.500
Au 0.250 0.016 0.750

Top 10 peaks for 2θ from 10° to 90°, most intense first:
35.9 deg, 2.498 Å, rel. 100, hkl 2 0 4
44.8 deg, 2.023 Å, rel. 29, hkl 2 2 0
35.0 deg, 2.563 Å, rel. 21, hkl 0 0 8
58.1 deg, 1.588 Å, rel. 19, hkl 2 2 8
76.7 deg, 1.242 Å, rel. 11, hkl 4 2 4
76.8 deg, 1.241 Å, rel. 10, hkl 2 4 4
23.6 deg, 3.764 Å, rel. 8, hkl 1 1 2
32.5 deg, 2.756 Å, rel. 7, hkl 2 0 2
41.1 deg, 2.194 Å, rel. 6, hkl 2 0 6
34.3 deg, 2.611 Å, rel. 6, hkl 1 1 6

Computed powder diffractogram of K2AsAuI6 for Cu Ka, from a PBE-relaxed structure.
Neutral-atom scattering factors, no anomalous dispersion.

Structural model:
Unit cell a=11.674 b=11.674 c=11.674 alpha=90.00 beta=90.00 gamma=90.00
Space group Fm-3m (No. 225)
One atom of each set of equivalent atoms:
K 0.250 0.250 0.250
As 0.000 0.000 0.000
Au 0.000 0.000 0.500
I 0.000 0.000 0.248

Top 10 peaks for 2θ from 10° to 90°, most intense first:
30.6 deg, 2.918 Å, rel. 100, hkl 4 0 0
15.2 deg, 5.837 Å, rel. 84, hkl 2 0 0
43.9 deg, 2.064 Å, rel. 73, hkl 4 4 0
26.4 deg, 3.370 Å, rel. 50, hkl 2 2 2
34.4 deg, 2.610 Å, rel. 47, hkl 4 2 0
72.4 deg, 1.305 Å, rel. 33, hkl 8 4 0
54.5 deg, 1.685 Å, rel. 26, hkl 4 4 4
46.7 deg, 1.946 Å, rel. 25, hkl 6 0 0
80.6 deg, 1.191 Å, rel. 25, hkl 8 4 4
52.0 deg, 1.760 Å, rel. 22, hkl 6 2 2

Computed powder diffractogram of Rb2AsAuI6 for Cu Ka, from a PBE-relaxed structure.
Neutral-atom scattering factors, no anomalous dispersion.

Structural model:
Unit cell a=11.731 b=11.731 c=11.731 alpha=90.00 beta=90.00 gamma=90.00
Space group Fm-3m (No. 225)
One atom of each set of equivalent atoms:
Rb 0.250 0.250 0.250
As 0.000 0.000 0.000
Au 0.000 0.000 0.500
I 0.000 0.000 0.248

Top 10 peaks for 2θ from 10° to 90°, most intense first:
30.5 deg, 2.933 Å, rel. 100, hkl 4 0 0
43.6 deg, 2.074 Å, rel. 74, hkl 4 4 0
26.3 deg, 3.386 Å, rel. 58, hkl 2 2 2
15.1 deg, 5.865 Å, rel. 46, hkl 2 0 0
72.0 deg, 1.312 Å, rel. 33, hkl 8 4 0
54.2 deg, 1.693 Å, rel. 26, hkl 4 4 4
51.7 deg, 1.768 Å, rel. 26, hkl 6 2 2
34.2 deg, 2.623 Å, rel. 25, hkl 4 2 0
80.2 deg, 1.197 Å, rel. 25, hkl 8 4 4
46.4 deg, 1.955 Å, rel. 14, hkl 6 0 0

Computed powder diffractogram of NdAs2Au for Cu Ka, from a PBE-relaxed structure.
Neutral-atom scattering factors, no anomalous dispersion.

Structural model:
Unit cell a=20.893 b=4.098 c=4.141 alpha=90.00 beta=90.00 gamma=90.00
Space group Pnma (No. 62)
One atom of each set of equivalent atoms:
Nd 0.118 0.250 0.227
As 0.002 0.250 0.702
As 0.158 0.750 0.727
Au 0.250 0.250 0.725

Top 10 peaks for 2θ from 10° to 90°, most intense first:
35.3 deg, 2.544 Å, rel. 100, hkl 4 1 1
34.3 deg, 2.612 Å, rel. 21, hkl 8 0 0
44.2 deg, 2.049 Å, rel. 15, hkl 0 2 0
43.7 deg, 2.070 Å, rel. 14, hkl 0 0 2
75.5 deg, 1.259 Å, rel. 11, hkl 4 3 1
62.1 deg, 1.494 Å, rel. 11, hkl 12 1 1
56.7 deg, 1.623 Å, rel. 10, hkl 8 0 2
57.1 deg, 1.612 Å, rel. 10, hkl 8 2 0
63.9 deg, 1.456 Å, rel. 9, hkl 0 2 2
74.8 deg, 1.269 Å, rel. 9, hkl 4 1 3

Computed powder diffractogram of Nd10As8Au3O10 for Cu Ka, from a PBE-relaxed structure.
Neutral-atom scattering factors, no anomalous dispersion.

Structural model:
Unit cell a=9.264 b=9.264 c=14.771 alpha=90.00 beta=90.00 gamma=90.00
Space group I4/m (No. 87)
One atom of each set of equivalent atoms:
Nd 0.000 0.000 0.163
Nd 0.099 0.705 0.325
As 0.092 0.230 0.000
As 0.129 0.248 0.500
Au 0.000 0.000 0.500
Au 0.000 0.500 0.000
O 0.000 0.500 0.250
O 0.101 0.197 0.246

Top 10 peaks for 2θ from 10° to 90°, most intense first:
28.2 deg, 3.170 Å, rel. 100, hkl 1 2 3
32.9 deg, 2.723 Å, rel. 44, hkl 3 1 2
43.7 deg, 2.071 Å, rel. 40, hkl 2 4 0
52.8 deg, 1.734 Å, rel. 29, hkl 5 0 3
39.3 deg, 2.295 Å, rel. 28, hkl 3 1 4
58.2 deg, 1.585 Å, rel. 27, hkl 2 4 6
36.5 deg, 2.462 Å, rel. 26, hkl 0 0 6
59.1 deg, 1.562 Å, rel. 16, hkl 3 1 8
22.3 deg, 3.989 Å, rel. 13, hkl 1 2 1
63.5 deg, 1.465 Å, rel. 10, hkl 6 2 0

Computed powder diffractogram of Sm10As8Au3O10 for Cu Ka, from a PBE-relaxed structure.
Neutral-atom scattering factors, no anomalous dispersion.

Structural model:
Unit cell a=9.170 b=9.170 c=14.524 alpha=90.00 beta=90.00 gamma=90.00
Space group I4/m (No. 87)
One atom of each set of equivalent atoms:
Sm 0.000 0.000 0.164
Sm 0.100 0.705 0.324
As 0.091 0.227 0.000
As 0.128 0.248 0.500
Au 0.000 0.000 0.500
Au 0.000 0.500 0.000
O 0.000 0.500 0.250
O 0.100 0.198 0.246

Top 10 peaks for 2θ from 10° to 90°, most intense first:
28.5 deg, 3.129 Å, rel. 100, hkl 1 2 3
33.3 deg, 2.693 Å, rel. 44, hkl 3 1 2
44.2 deg, 2.050 Å, rel. 40, hkl 2 4 0
53.4 deg, 1.715 Å, rel. 29, hkl 5 0 3
37.1 deg, 2.420 Å, rel. 28, hkl 0 0 6
39.8 deg, 2.266 Å, rel. 26, hkl 3 1 4
59.0 deg, 1.565 Å, rel. 26, hkl 2 4 6
60.1 deg, 1.539 Å, rel. 16, hkl 3 1 8
22.5 deg, 3.947 Å, rel. 13, hkl 1 2 1
64.2 deg, 1.450 Å, rel. 10, hkl 6 2 0

Computed powder diffractogram of SmAs2Au for Cu Ka, from a PBE-relaxed structure.
Neutral-atom scattering factors, no anomalous dispersion.

Structural model:
Unit cell a=5.779 b=20.685 c=5.767 alpha=90.00 beta=90.00 gamma=90.00
Space group Pbcm (No. 57)
One atom of each set of equivalent atoms:
Sm 0.015 0.118 0.250
Sm 0.484 0.617 0.750
As 0.016 0.157 0.750
As 0.243 0.000 0.526
As 0.485 0.656 0.250
Au 0.232 0.750 0.000
Au 0.269 0.250 0.000

Top 10 peaks for 2θ from 10° to 90°, most intense first:
35.6 deg, 2.520 Å, rel. 100, hkl 0 4 2
44.4 deg, 2.041 Å, rel. 29, hkl 2 0 2
34.7 deg, 2.586 Å, rel. 21, hkl 0 8 0
57.5 deg, 1.602 Å, rel. 18, hkl 2 8 2
75.9 deg, 1.253 Å, rel. 10, hkl 4 4 2
76.0 deg, 1.252 Å, rel. 10, hkl 2 4 4
62.8 deg, 1.480 Å, rel. 10, hkl 0 12 2
23.4 deg, 3.797 Å, rel. 8, hkl 1 2 1
40.8 deg, 2.213 Å, rel. 7, hkl 0 6 2
34.0 deg, 2.634 Å, rel. 7, hkl 1 6 1

> What is the formula in the first record?

GdAs2Au